# 1
Computed powder X-ray diffraction pattern
Compound: MgV2O2F6
Radiation: Cu Kα (λ = 1.5418 Å)
Structure: a structure optimized by DFT (GGA+U)

The 10 most intense peaks (2θ = 10–90°), by angle:
16.21 deg, 5.469 Å, I = 83
24.11 deg, 3.691 Å, I = 47
24.41 deg, 3.647 Å, I = 50
25.00 deg, 3.561 Å, I = 100
32.75 deg, 2.735 Å, I = 27
33.09 deg, 2.707 Å, I = 11
46.64 deg, 1.947 Å, I = 26
48.10 deg, 1.892 Å, I = 27
48.33 deg, 1.883 Å, I = 19
50.03 deg, 1.823 Å, I = 16

```
MgV2O2F6
1.0
5.4148 0.0000 0.0000
0.1825 5.4194 0.0000
2.6347 -0.0745 5.4694
Mg V O F
1 2 2 6
Direct
0.0000 0.0000 0.0000
0.4428 0.2773 0.5516
0.9286 0.7222 0.5569
0.2288 0.4835 0.5064
0.7061 0.5185 0.5472
0.1093 0.8230 0.2210
0.2020 0.9838 0.6108
0.2530 0.2740 0.9061
0.6698 0.1768 0.2164
0.6954 0.0244 0.6180
0.8301 0.7326 0.9037
```



# 2
Computed powder X-ray diffraction pattern
Compound: MgV6O11F
Radiation: Cu Kα (λ = 1.5418 Å)
Structure: a structure optimized by DFT (GGA+U)

The 10 most intense peaks (2θ = 10–90°), by angle:
25.65 deg, 3.473 Å, I = 100
27.04 deg, 3.297 Å, I = 97
34.97 deg, 2.566 Å, I = 28
35.33 deg, 2.540 Å, I = 57
35.40 deg, 2.536 Å, I = 29
52.72 deg, 1.736 Å, I = 24
52.83 deg, 1.733 Å, I = 24
53.37 deg, 1.717 Å, I = 35
55.76 deg, 1.649 Å, I = 23
61.70 deg, 1.503 Å, I = 21

```
MgV6O11F
1.0
4.7480 0.0000 0.0000
0.2509 4.8243 0.0000
0.0334 0.1132 9.0199
Mg V O F
1 6 11 1
Direct
0.0000 0.0000 0.0000
0.0107 0.5021 0.6770
0.0200 0.4991 0.0047
0.0366 0.5226 0.3559
0.4878 0.9687 0.1838
0.4989 0.9861 0.8305
0.5507 0.0408 0.5082
0.1696 0.7185 0.1724
0.1957 0.6975 0.5098
0.2006 0.7386 0.8479
0.3106 0.2199 0.3437
0.3309 0.2056 0.6731
0.3349 0.2050 0.0096
0.6841 0.7769 0.0063
0.6980 0.8048 0.6726
0.7015 0.7855 0.3477
0.8145 0.2957 0.5062
0.8332 0.2772 0.8500
0.8317 0.2565 0.1677
```



# 3
Computed powder X-ray diffraction pattern
Compound: MgV4O4F8
Radiation: Cu Kα (λ = 1.5418 Å)
Structure: a structure optimized by DFT (GGA+U)

The 10 most intense peaks (2θ = 10–90°), by angle:
23.05 deg, 3.859 Å, I = 90
23.68 deg, 3.757 Å, I = 84
23.78 deg, 3.741 Å, I = 100
32.38 deg, 2.765 Å, I = 24
33.16 deg, 2.701 Å, I = 20
40.01 deg, 2.253 Å, I = 34
47.10 deg, 1.929 Å, I = 24
48.46 deg, 1.879 Å, I = 20
48.67 deg, 1.871 Å, I = 18
60.82 deg, 1.523 Å, I = 21

```
MgV4O4F8
1.0
5.2076 0.0000 0.0000
2.5819 4.5721 0.0000
2.5303 -1.2366 9.1386
Mg V O F
1 4 4 8
Direct
0.0000 0.0000 0.0000
0.2486 0.8625 0.5440
0.3175 0.3612 0.0489
0.7400 0.6214 0.7849
0.7600 0.1270 0.3117
0.0193 0.9094 0.4366
0.4042 0.6237 0.9272
0.5445 0.8026 0.6681
0.5848 0.2824 0.1605
0.0387 0.3455 0.9246
0.1348 0.6158 0.6772
0.1433 0.1176 0.1591
0.3988 0.1118 0.4419
0.6176 0.5084 0.4226
0.6923 0.9576 0.9172
0.9262 0.2110 0.6946
0.9492 0.7373 0.1735
```



# 4
Computed powder X-ray diffraction pattern
Compound: MgV4O7F5
Radiation: Cu Kα (λ = 1.5418 Å)
Structure: a structure optimized by DFT (GGA+U)

The 10 most intense peaks (2θ = 10–90°), by angle:
23.50 deg, 3.785 Å, I = 100
24.77 deg, 3.594 Å, I = 52
33.00 deg, 2.714 Å, I = 12
33.38 deg, 2.684 Å, I = 13
33.63 deg, 2.665 Å, I = 12
33.96 deg, 2.640 Å, I = 7
40.16 deg, 2.245 Å, I = 14
48.08 deg, 1.892 Å, I = 24
50.81 deg, 1.797 Å, I = 11
53.52 deg, 1.712 Å, I = 16

```
MgV4O7F5
1.0
5.2802 0.0000 0.0000
-2.6025 4.6699 0.0000
-0.0482 -2.3887 8.3775
Mg V O F
1 4 7 5
Direct
0.0000 0.0000 0.0000
0.2277 0.3693 0.4011
0.4428 0.9045 0.1696
0.6730 0.3396 0.8833
0.9972 0.8546 0.6475
0.1549 0.6584 0.5755
0.1614 0.1370 0.5222
0.2625 0.1363 0.8276
0.2692 0.1444 0.2065
0.2730 0.6572 0.2778
0.7088 0.1503 0.0161
0.7667 0.6518 0.7785
0.1367 0.6742 0.9764
0.6513 0.6622 0.0664
0.6525 0.6287 0.4742
0.7596 0.1206 0.7091
0.7975 0.1740 0.3245
```



# 5
Computed powder X-ray diffraction pattern
Compound: MgV2O2F6
Radiation: Cu Kα (λ = 1.5418 Å)
Structure: a structure optimized by DFT (GGA+U)

The 10 most intense peaks (2θ = 10–90°), by angle:
17.06 deg, 5.197 Å, I = 100
17.50 deg, 5.068 Å, I = 49
17.91 deg, 4.952 Å, I = 92
24.31 deg, 3.662 Å, I = 35
24.58 deg, 3.622 Å, I = 77
25.15 deg, 3.541 Å, I = 59
39.33 deg, 2.291 Å, I = 76
40.14 deg, 2.247 Å, I = 42
51.09 deg, 1.788 Å, I = 34
52.85 deg, 1.732 Å, I = 26

```
MgV2O2F6
1.0
5.0590 0.0000 0.0000
0.2101 5.7230 0.0000
0.2083 2.7117 5.1974
Mg V O F
1 2 2 6
Direct
0.0000 0.0000 0.0000
0.4898 0.4798 0.9942
0.9891 0.7435 0.6866
0.2614 0.7812 0.8722
0.6875 0.5972 0.6837
0.1321 0.8356 0.3552
0.1930 0.3544 0.8604
0.3755 0.3453 0.3187
0.6889 0.1444 0.0944
0.7935 0.6505 0.0629
0.8788 0.0812 0.6371
```



# 6
Computed powder X-ray diffraction pattern
Compound: MgV4O2F12
Radiation: Cu Kα (λ = 1.5418 Å)
Structure: a structure optimized by DFT (GGA+U)

The 10 most intense peaks (2θ = 10–90°), by angle:
13.92 deg, 6.360 Å, I = 75
15.04 deg, 5.892 Å, I = 100
21.61 deg, 4.113 Å, I = 23
22.01 deg, 4.039 Å, I = 37
22.42 deg, 3.965 Å, I = 44
24.86 deg, 3.581 Å, I = 28
32.57 deg, 2.749 Å, I = 13
39.40 deg, 2.287 Å, I = 38
43.10 deg, 2.099 Å, I = 32
44.69 deg, 2.028 Å, I = 28

```
MgV4O2F12
1.0
5.4470 0.0000 0.0000
0.5347 6.6439 0.0000
1.8722 2.4373 8.0711
Mg V O F
1 4 2 12
Direct
0.0000 0.0000 0.0000
0.0535 0.4430 0.7220
0.4071 0.3763 0.3929
0.5283 0.2081 0.8585
0.9426 0.5925 0.2753
0.0864 0.4664 0.4834
0.1632 0.3163 0.9033
0.0465 0.8768 0.2326
0.1452 0.7103 0.6734
0.3050 0.4940 0.1882
0.3627 0.9515 0.9015
0.3662 0.1119 0.4153
0.4464 0.3132 0.6287
0.5690 0.6326 0.3743
0.6497 0.1255 0.0580
0.7005 0.4890 0.7904
0.7771 0.3313 0.2974
0.8795 0.7112 0.0526
0.8962 0.1361 0.7689
```



Question: What is the formula in the fourth record?
Answer: MgV4O7F5